Theoretical PXRD pattern
Compound: Pm2Cd5Ag12
Radiation: Cu Ka
Structure: a cell relaxed with PBE
Lines closer than 0.1° are merged.

Main lines, in order of rising 2θ (10° ≤ 2θ ≤ 90°):
| d [Å] | two_theta | intensity |
| --- | --- | --- |
| 2.819 | 31.75 | 37 |
| 2.744 | 32.64 | 27 |
| 2.441 | 36.82 | 56 |
| 2.432 | 36.97 | 100 |
| 2.404 | 37.41 | 32 |
| 2.177 | 41.49 | 65 |
| 2.157 | 41.89 | 19 |
| 1.541 | 60.02 | 20 |
| 1.409 | 66.33 | 26 |
| 1.393 | 67.19 | 18 |

Crystal structure
Cell lengths 9.7639, 9.7639, 14.4248 Å; angles 90.00, 90.00, 120.00 degrees
Space group R-3m (No. 166, hexagonal axes)
Inequivalent atoms, fractional coordinates:
Pm  0.0000  0.0000  0.1463 x6
Cd  0.0000  0.0000  0.3988 x6
Cd  0.0000  0.5000  0.0000 x9
Ag  0.0000  0.3101  0.5000 x18
Ag  0.0084  0.5042  0.6526 x18

---

Theoretical PXRD pattern
Compound: Ca2La3
Radiation: Cu Ka
Structure: a cell relaxed with PBE
Lines closer than 0.1° are merged.

Main lines, in order of rising 2θ (10° ≤ 2θ ≤ 90°):
| d [Å] | two_theta | intensity |
| --- | --- | --- |
| 3.150 | 28.33 | 35 |
| 3.091 | 28.88 | 100 |
| 2.862 | 31.26 | 13 |
| 2.690 | 33.31 | 67 |
| 1.915 | 47.47 | 23 |
| 1.889 | 48.18 | 24 |
| 1.637 | 56.21 | 13 |
| 1.620 | 56.84 | 28 |
| 1.612 | 57.16 | 14 |
| 1.546 | 59.84 | 12 |

Crystal structure
Cell lengths 3.7772, 3.7772, 47.2540 Å; angles 90.00, 90.00, 120.00 degrees
Space group R-3m (No. 166, hexagonal axes)
Inequivalent atoms, fractional coordinates:
Ca  0.0000  0.0000  0.2011 x6
La  0.0000  0.0000  0.0000 x3
La  0.0000  0.0000  0.3966 x6